Record 1
This entry pairs a crystal structure of TeP with its calculated powder X-ray diffraction pattern. Radiation: Cu Kα (λ = 1.5418 Å). Structure: a crystal structure in Alexandria, relaxed with GGA-PBE.

Principal peaks in the range 5 to 70 degrees two-theta, by angle:
d (Å)  2theta  I_rel
10.455  8.46  100
3.485  25.56  55
3.079  29.00  68
3.048  29.30  71
2.655  33.76  23
2.612  34.33  43
2.185  41.33  16
2.117  42.71  21
2.109  42.88  20
1.607  57.32  17

Crystal structure
```
TeP
1.0
3.272 0.000 0.000
-1.052 3.099 0.000
-0.568 -1.878 10.455
Te P
2 2
Cartesian
0.000 0.000 0.000
-0.039 0.018 2.875
1.242 -0.816 6.387
1.770 1.151 7.451
```


Record 2
This entry pairs a crystal structure of Rb3Tm3TiSe8 with its calculated powder X-ray diffraction pattern. Radiation: Cu Kα (λ = 1.5418 Å). Structure: a crystal structure in Alexandria, relaxed with GGA-PBE.

Principal peaks in the range 5 to 70 degrees two-theta, by angle:
d (Å)  2theta  I_rel
8.169  10.83  54
6.091  14.54  11
3.045  29.33  100
2.479  36.24  20
2.308  39.03  31
2.027  44.72  36
1.881  48.39  11
1.687  54.38  17
1.567  58.93  12
1.523  60.82  9

Crystal structure
```
Rb3Tm3TiSe8
1.0
4.053 2.340 8.169
-4.053 2.340 8.169
0.000 -4.680 8.169
Rb Tm Ti Se
3 3 1 8
Cartesian
-2.026 -1.170 8.169
-2.026 1.170 16.338
0.000 2.340 8.169
-4.053 0.000 12.253
-2.026 1.170 4.084
2.026 1.170 4.084
0.000 0.000 12.253
0.000 0.000 5.670
-1.893 -1.093 13.749
0.000 -2.185 10.758
-1.893 1.093 10.758
1.893 -1.093 13.749
0.000 2.185 13.749
1.893 1.093 10.758
0.000 0.000 18.836
```


Record 3
This entry pairs a crystal structure of Nd3IO7 with its calculated powder X-ray diffraction pattern. Radiation: Cu Kα (λ = 1.5418 Å). Structure: a crystal structure in Alexandria, relaxed with GGA-PBE.

Principal peaks in the range 5 to 70 degrees two-theta, by angle:
d (Å)  2theta  I_rel
3.233  27.59  100
3.199  27.89  100
2.797  31.99  44
2.760  32.44  21
1.994  45.49  13
1.964  46.22  76
1.692  54.21  23
1.678  54.71  29
1.671  54.95  12
1.666  55.13  15

Crystal structure
```
Nd3IO7
1.0
3.988 -5.521 0.000
3.988 5.521 0.000
0.000 0.000 7.851
Nd I O
6 2 14
Cartesian
2.118 2.590 2.021
0.303 0.000 0.000
2.118 -2.590 5.830
5.858 2.590 1.905
7.672 0.000 3.925
5.858 -2.590 5.946
3.958 0.000 3.925
4.018 0.000 0.000
3.988 4.071 5.888
3.988 3.997 1.963
2.266 1.421 7.708
2.550 1.333 4.240
2.266 -1.421 0.142
3.988 0.831 1.963
2.550 -1.333 3.611
5.425 1.333 7.536
3.988 -0.831 5.888
5.709 1.421 4.068
5.425 -1.333 0.314
5.709 -1.421 3.783
3.988 -3.997 5.888
3.988 -4.071 1.963
```


Record 4
This entry pairs a crystal structure of PrGa6Co4 with its calculated powder X-ray diffraction pattern. Radiation: Cu Kα (λ = 1.5418 Å). Structure: a crystal structure in Alexandria, relaxed with GGA-PBE.

Principal peaks in the range 5 to 70 degrees two-theta, by angle:
d (Å)  2theta  I_rel
3.014  29.64  6
2.619  34.24  27
2.402  37.44  100
2.278  39.55  40
1.988  45.64  28
1.977  45.91  23
1.793  50.92  20
1.740  52.59  19
1.541  60.03  12
1.498  61.95  20

Crystal structure
```
PrGa6Co4
1.0
6.961 0.000 0.000
-3.480 6.028 0.000
0.000 0.000 3.975
Pr Ga Co
1 6 4
Cartesian
0.000 0.000 0.000
-1.396 3.213 0.000
2.067 1.193 1.988
1.396 3.213 0.000
0.000 5.631 0.000
4.894 1.193 1.988
3.480 3.641 1.988
0.000 2.591 1.988
-1.237 4.733 1.988
1.237 4.733 1.988
3.480 2.009 0.000
```


Record 5
This entry pairs a crystal structure of ZnGeAsIrAu with its calculated powder X-ray diffraction pattern. Radiation: Cu Kα (λ = 1.5418 Å). Structure: a crystal structure in Alexandria, relaxed with GGA-PBE.

Principal peaks in the range 5 to 70 degrees two-theta, by angle:
d (Å)  2theta  I_rel
3.659  24.33  30
3.333  26.75  100
2.950  30.30  12
2.159  41.84  66
2.020  44.88  56
1.860  48.98  25
1.768  51.69  24
1.727  53.01  16
1.475  63.02  20
1.368  68.60  9

Crystal structure
```
ZnGeAsIrAu
1.0
4.040 0.000 0.000
-2.020 3.498 0.000
0.000 0.000 21.954
Zn Ge As Ir Au
3 3 3 3 3
Cartesian
0.000 0.000 0.000
0.000 2.332 14.636
2.020 1.166 7.318
0.000 0.000 10.956
0.000 2.332 3.638
2.020 1.166 18.274
0.000 0.000 5.649
0.000 2.332 20.285
2.020 1.166 12.967
0.000 0.000 19.353
0.000 2.332 12.035
2.020 1.166 4.717
0.000 0.000 8.452
0.000 2.332 1.134
2.020 1.166 15.770
```